No. 1
Structure and theoretical X-ray powder pattern of Ti3ZnP4O14 (a structure optimized by DFT (PBE); Cu Kα, 1.54184 Å).
Peak positions follow from Bragg's law for the DFT cell and can differ from measured ones.

```
44
Lattice="7.6285 0.0000 0.0000 0.0000 7.8913 0.0000 -3.6703 0.0000 9.0672" Properties=species:S:1:pos:R:3 pbc="T T T"
Ti 0.0000 0.0000 0.0000
Ti -1.8352 3.9457 4.5336
Ti -0.5292 1.0684 4.7798
Ti 1.3060 2.8772 0.2462
Ti 2.6522 5.0141 8.8210
Ti 4.4873 6.8229 4.2874
Zn 3.8143 0.0000 0.0000
Zn 1.9791 3.9457 4.5336
P -2.0792 5.5704 7.3357
P -0.2440 6.2666 2.8021
P 1.8963 0.3891 2.7308
P 0.0611 3.5566 7.2644
P 3.8971 4.3347 1.8028
P 2.0619 7.5022 6.3364
P 4.2022 1.6247 6.2651
P 6.0374 2.3209 1.7315
O -2.2904 5.5995 5.8009
O -0.4552 6.2375 1.2672
O -3.0102 4.5547 8.0576
O -1.1751 7.2823 3.5240
O -0.3681 4.9152 3.4784
O -2.2032 6.9218 8.0120
O 1.5187 0.8536 1.2805
O -0.3164 3.0921 5.8141
O -0.5809 5.0507 7.4557
O 1.2542 6.7863 2.9220
O 1.1798 1.2978 3.7234
O -0.6553 2.6479 8.2570
O 2.4194 4.1126 1.5495
O 0.5843 7.7244 6.0831
O 3.3739 0.1669 2.9841
O 1.5388 3.7787 7.5177
O 4.6135 5.2434 0.8103
O 2.7784 6.5935 5.3439
O 2.7040 1.1050 6.1452
O 4.5391 2.8407 1.6116
O 4.2746 4.7992 3.2531
O 2.4395 7.0378 7.7867
O 6.1614 0.9695 1.0552
O 4.3263 2.9762 5.5888
O 5.1333 0.6090 5.5433
O 6.9684 3.3366 1.0096
O 4.4134 1.6538 7.8000
O 6.2486 2.2918 3.2664
```

Most intense lines, 2θ from 10° to 80°, most intense first:
d/Å  I/Imax
3.041  100
3.443  63
2.756  49
3.196  47
3.939  45
2.512  43
3.009  43
2.719  42

***

No. 2
Structure and theoretical X-ray powder pattern of YP2Pd2 (a structure optimized by DFT (PBE); Cu Kα, 1.54184 Å).
Peak positions follow from Bragg's law for the DFT cell and can differ from measured ones.

```
5
Lattice="-2.0516 2.0516 4.9676 2.0516 -2.0516 4.9676 2.0516 2.0516 -4.9676" Properties=species:S:1:pos:R:3 pbc="T T T"
Y 0.0000 0.0000 0.0000
P 0.0000 0.0000 3.8646
P 0.0000 0.0000 6.0706
Pd 2.0516 0.0000 2.4838
Pd 0.0000 2.0516 2.4838
```

Most intense lines, 2θ from 10° to 80°, most intense first:
d/Å  I/Imax
2.505  100
2.052  37
1.255  21
4.968  19
2.577  16
2.484  15
1.582  15
1.887  14

***

No. 3
Structure and theoretical X-ray powder pattern of NiGe (a structure optimized by DFT (PBE); Cu Kα, 1.54184 Å).
Peak positions follow from Bragg's law for the DFT cell and can differ from measured ones.

```
8
Lattice="5.3711 0.0000 0.0000 0.0000 3.4969 0.0000 0.0000 0.0000 5.8159" Properties=species:S:1:pos:R:3 pbc="T T T"
Ni 0.0349 0.8742 1.1050
Ni 2.6507 2.6226 4.0129
Ni 2.7204 0.8742 1.8029
Ni 5.3363 2.6226 4.7108
Ge 1.0173 0.8742 3.4245
Ge 1.6683 2.6226 0.5166
Ge 3.7028 0.8742 5.2993
Ge 4.3539 2.6226 2.3914
```

Most intense lines, 2θ from 10° to 80°, most intense first:
d/Å  I/Imax
2.000  100
2.617  96
2.064  68
2.557  55
1.748  40
1.695  39
1.973  31
1.711  25

***

No. 4
Structure and theoretical X-ray powder pattern of BaMgBi4O8 (a structure optimized by DFT (PBE); Cu Kα, 1.54184 Å).
Peak positions follow from Bragg's law for the DFT cell and can differ from measured ones.

```
14
Lattice="6.2572 0.0000 0.0000 -3.1286 5.4189 0.0000 0.0000 0.0000 7.4576" Properties=species:S:1:pos:R:3 pbc="T T T"
Ba 0.0000 0.0000 0.0000
Mg 0.0000 0.0000 3.7288
Bi 0.0000 3.6126 2.1111
Bi 0.0000 3.6126 5.3466
Bi 3.1286 1.8063 2.1111
Bi 3.1286 1.8063 5.3466
O -0.8658 1.4996 2.3033
O -2.2628 3.9193 5.1544
O 1.7316 0.0000 2.3033
O 0.8658 1.4996 5.1544
O 0.0000 3.6126 0.0000
O 3.1286 1.8063 0.0000
O 4.5257 0.0000 5.1544
O 2.2628 3.9193 2.3033
```

Most intense lines, 2θ from 10° to 80°, most intense first:
d/Å  I/Imax
3.129  100
3.072  51
2.397  30
1.806  26
1.795  25
2.192  23
5.419  23
3.729  22

***

No. 5
Structure and theoretical X-ray powder pattern of K3Os (a structure optimized by DFT (PBE); Cu Kα, 1.54184 Å).
Peak positions follow from Bragg's law for the DFT cell and can differ from measured ones.

```
4
Lattice="-2.9830 2.9830 3.9989 2.9830 -2.9830 3.9989 2.9830 2.9830 -3.9989" Properties=species:S:1:pos:R:3 pbc="T T T"
K 0.0000 0.0000 0.0000
K 2.9830 0.0000 1.9994
K 0.0000 2.9830 1.9994
Os 0.0000 0.0000 3.9989
```

Most intense lines, 2θ from 10° to 80°, most intense first:
d/Å  I/Imax
2.902  100
4.782  72
2.983  54
1.706  39
2.531  30
4.219  27
1.886  20
2.109  20

***

No. 6
Structure and theoretical X-ray powder pattern of DyNiB4 (a structure optimized by DFT (PBE); Cu Kα, 1.54184 Å).
Peak positions follow from Bragg's law for the DFT cell and can differ from measured ones.

```
24
Lattice="-3.7685 3.7685 4.2612 3.7685 -3.7685 4.2612 3.7685 3.7685 -4.2612" Properties=species:S:1:pos:R:3 pbc="T T T"
Dy 0.0000 0.0000 1.7262
Dy 3.7685 0.0000 2.1306
Dy 0.0000 3.7685 2.1306
Dy 0.0000 0.0000 6.7963
Ni 3.7685 2.0464 0.0000
Ni 2.0464 3.7685 0.0000
Ni 1.7221 0.0000 4.2612
Ni 0.0000 1.7221 4.2612
B 2.0738 0.8397 0.0000
B 5.4632 0.8397 0.0000
B 2.0125 2.0125 -1.3019
B 1.7560 -1.7560 2.9593
B 0.8397 2.0738 0.0000
B 2.9288 -1.6947 4.2612
B 2.0125 2.0125 1.3019
B 1.7560 -1.7560 5.5632
B -1.7560 1.7560 2.9593
B 1.7560 1.7560 2.9593
B 0.8397 5.4632 0.0000
B 2.9288 1.6947 4.2612
B -1.7560 1.7560 5.5632
B 1.7560 1.7560 5.5632
B -1.6947 2.9288 4.2612
B 1.6947 2.9288 4.2612
```

Most intense lines, 2θ from 10° to 80°, most intense first:
d/Å  I/Imax
2.259  100
2.823  85
3.769  76
2.661  50
1.884  42
1.567  26
1.321  23
3.134  22

***

No. 7
Structure and theoretical X-ray powder pattern of NaNdTi4O12 (a structure optimized by DFT (PBE); Cu Kα, 1.54184 Å).
Peak positions follow from Bragg's law for the DFT cell and can differ from measured ones.

```
18
Lattice="5.4488 0.0000 0.0000 0.0000 5.4488 0.0000 0.0000 0.0000 7.8863" Properties=species:S:1:pos:R:3 pbc="T T T"
Na 0.0000 0.0000 0.0000
Nd 2.7244 2.7244 3.9432
Ti 0.0000 2.7244 1.8801
Ti 0.0000 2.7244 6.0063
Ti 2.7244 0.0000 1.8801
Ti 2.7244 0.0000 6.0063
O 0.0000 2.7244 0.0000
O 0.0000 2.7244 3.9432
O 1.3985 1.3985 2.1041
O 1.3985 1.3985 5.7822
O 1.3985 4.0502 2.1041
O 1.3985 4.0502 5.7822
O 2.7244 0.0000 0.0000
O 2.7244 0.0000 3.9432
O 4.0502 1.3985 2.1041
O 4.0502 1.3985 5.7822
O 4.0502 4.0502 2.1041
O 4.0502 4.0502 5.7822
```

Most intense lines, 2θ from 10° to 80°, most intense first:
d/Å  I/Imax
4.483  100
2.756  84
1.926  50
7.886  44
5.449  43
2.724  42
2.328  35
3.462  33

***

No. 8
Structure and theoretical X-ray powder pattern of BaLu2Si3O10 (a structure optimized by DFT (PBE); Cu Kα, 1.54184 Å).
Peak positions follow from Bragg's law for the DFT cell and can differ from measured ones.

```
32
Lattice="5.3991 0.0000 0.0000 0.0000 12.2061 0.0000 -1.9116 0.0000 6.5396" Properties=species:S:1:pos:R:3 pbc="T T T"
Ba 0.3643 3.0515 3.1559
Ba 3.1233 9.1545 3.3837
Lu 0.5018 7.3230 1.1780
Lu 0.5018 10.9860 1.1780
Lu 2.9857 1.2200 5.3616
Lu 2.9857 4.8830 5.3616
Si 0.2801 6.8333 4.6443
Si 0.2801 11.4758 4.6443
Si 2.2384 3.0515 0.0928
Si 1.2492 9.1545 6.4469
Si 3.2075 0.7303 1.8954
Si 3.2075 5.3728 1.8954
O -1.0932 6.6958 5.5685
O -1.0932 11.6133 5.5685
O -1.0038 3.0515 5.6929
O -0.0832 7.5715 3.2398
O -0.0832 10.7376 3.2398
O 1.7522 9.1545 0.7290
O 1.0720 0.6759 4.5460
O 1.0720 5.4271 4.5460
O 2.1313 1.7496 1.0969
O 2.1313 4.3534 1.0969
O 1.3563 7.8527 5.4428
O 1.3563 10.4564 5.4428
O 2.4156 6.7789 1.9936
O 2.4156 11.5302 1.9936
O 1.7354 3.0515 5.8107
O 3.5708 1.4684 3.2998
O 3.5708 4.6346 3.2998
O 4.4914 9.1545 0.8467
O 4.5808 0.5928 0.9711
O 4.5808 5.5102 0.9711
```

Most intense lines, 2θ from 10° to 80°, most intense first:
d/Å  I/Imax
3.200  100
3.453  64
3.095  58
5.764  35
4.765  34
2.882  25
1.646  21
2.680  20